Structure and computed powder diffractogram of RbBaN3 (a crystal structure in the Materials Project, relaxed with PBE; λ = 1.5418 Å (Cu Kα)).
Neutral-atom scattering factors, no anomalous dispersion.

Peak list (6 most intense, 2θ from 10° to 80°, by angle)
d (Å)	2theta	intensity
4.985	17.8	100
3.552	25.1	65
3.322	26.8	58
3.175	28.1	87
2.435	36.9	74
2.039	44.4	49

Atomic structure:
Unit cell a=15.274 b=14.937 c=6.810 alpha=79.76 beta=74.22 gamma=26.02
Sites, in units of the cell vectors:
Rb 0.051 0.051 0.199
Rb 0.199 0.199 0.051
Rb 0.801 0.801 0.949
Rb 0.949 0.949 0.801
Ba 0.302 0.302 0.448
Ba 0.448 0.448 0.302
Ba 0.552 0.552 0.698
Ba 0.698 0.698 0.552
N 0.003 0.526 0.284
N 0.156 0.594 0.594
N 0.284 0.686 0.003
N 0.314 0.716 0.474
N 0.406 0.844 0.844
N 0.474 0.997 0.314
N 0.526 0.003 0.686
N 0.594 0.156 0.156
N 0.686 0.284 0.526
N 0.716 0.314 0.997
N 0.844 0.406 0.406
N 0.997 0.474 0.716